1.
Structure and calculated XRD peak list of Li5CoNi4O10 (the GGA+U geometry in Alexandria; copper Kα).
Lines closer than 0.1° are merged.

Cell and atoms:
```
data_Li5CoNi4O10
_chemical_formula_sum 'Li5 Co1 Ni4 O10'
_symmetry_space_group_name_H-M 'P 1'
_symmetry_Int_Tables_number 1
_symmetry_space_group_name_Hall 'P 1'
_cell_length_a 11.9885
_cell_length_b 11.9885
_cell_length_c 5.0573
_cell_angle_alpha 94.20
_cell_angle_beta 94.20
_cell_angle_gamma 13.84
loop_
_atom_site_label
_atom_site_type_symbol
_atom_site_fract_x
_atom_site_fract_y
_atom_site_fract_z
Li1 Li 0.0000 0.0000 0.0000
Li2 Li 0.1999 0.1999 0.4089
Li3 Li 0.3971 0.3971 0.7857
Li4 Li 0.6029 0.6029 0.2143
Li5 Li 0.8001 0.8001 0.5911
Co1 Co 0.5000 0.5000 0.5000
Ni1 Ni 0.1003 0.1003 0.7112
Ni2 Ni 0.3003 0.3003 0.0855
Ni3 Ni 0.6997 0.6997 0.9145
Ni4 Ni 0.8997 0.8997 0.2888
O1 O 0.0442 0.0442 0.3698
O2 O 0.1527 0.1527 0.0575
O3 O 0.2490 0.2490 0.7799
O4 O 0.3477 0.3477 0.4038
O5 O 0.4528 0.4528 0.1863
O6 O 0.5472 0.5472 0.8137
O7 O 0.6523 0.6523 0.5962
O8 O 0.7510 0.7510 0.2201
O9 O 0.8473 0.8473 0.9425
O10 O 0.9558 0.9558 0.6302
```

Largest 6 diffraction maxima, sorted by position, 2θ = 10–80°:
2θ 18.60, intensity 100
2θ 36.24, intensity 13
2θ 36.41, intensity 29
2θ 43.98, intensity 23
2θ 44.13, intensity 48
2θ 63.91, intensity 18

2.
Structure and calculated XRD peak list of Li3Co2NiO6 (the GGA+U geometry in Alexandria; copper Kα).
Lines closer than 0.1° are merged.

Cell and atoms:
```
data_Li3Co2NiO6
_chemical_formula_sum 'Li6 Co4 Ni2 O12'
_symmetry_space_group_name_H-M 'P 1'
_symmetry_Int_Tables_number 1
_symmetry_space_group_name_Hall 'P 1'
_cell_length_a 5.7733
_cell_length_b 2.8539
_cell_length_c 12.5863
_cell_angle_alpha 90.00
_cell_angle_beta 104.00
_cell_angle_gamma 90.00
loop_
_atom_site_label
_atom_site_type_symbol
_atom_site_fract_x
_atom_site_fract_y
_atom_site_fract_z
Li1 Li 0.0000 0.0000 0.0000
Li2 Li 0.0000 0.5000 0.5000
Li3 Li 0.3348 0.0082 0.6678
Li4 Li 0.3348 0.4918 0.1678
Li5 Li 0.6652 0.5082 0.8322
Li6 Li 0.6652 0.9918 0.3322
Co1 Co 0.1659 0.5139 0.8326
Co2 Co 0.1659 0.9861 0.3326
Co3 Co 0.8341 0.0139 0.6674
Co4 Co 0.8341 0.4861 0.1674
Ni1 Ni 0.5000 0.0000 0.0000
Ni2 Ni 0.5000 0.5000 0.5000
O1 O 0.0647 0.5129 0.6744
O2 O 0.0647 0.9871 0.1744
O3 O 0.2598 0.5336 0.9909
O4 O 0.2598 0.9664 0.4909
O5 O 0.3946 0.0192 0.8363
O6 O 0.3946 0.4808 0.3363
O7 O 0.6054 0.5192 0.6637
O8 O 0.6054 0.9808 0.1637
O9 O 0.7402 0.0336 0.5091
O10 O 0.7402 0.4664 0.0091
O11 O 0.9353 0.0129 0.8256
O12 O 0.9353 0.4871 0.3256
```

Largest 6 diffraction maxima, sorted by position, 2θ = 10–80°:
2θ 18.73, intensity 100
2θ 36.89, intensity 26
2θ 38.50, intensity 15
2θ 44.51, intensity 23
2θ 44.65, intensity 45
2θ 64.56, intensity 18

3.
Structure and calculated XRD peak list of Li6Co3Ni5O16 (the GGA+U geometry in Alexandria; copper Kα).
Lines closer than 0.1° are merged.

Cell and atoms:
```
data_Li6Co3Ni5O16
_chemical_formula_sum 'Li6 Co3 Ni5 O16'
_symmetry_space_group_name_H-M 'P 1'
_symmetry_Int_Tables_number 1
_symmetry_space_group_name_Hall 'P 1'
_cell_length_a 5.8048
_cell_length_b 5.8048
_cell_length_c 9.3199
_cell_angle_alpha 93.11
_cell_angle_beta 93.11
_cell_angle_gamma 57.90
loop_
_atom_site_label
_atom_site_type_symbol
_atom_site_fract_x
_atom_site_fract_y
_atom_site_fract_z
Li1 Li 0.0000 0.0000 0.0000
Li2 Li 0.3132 0.3132 0.5066
Li3 Li 0.3138 0.8046 0.4994
Li4 Li 0.5114 0.9823 0.0019
Li5 Li 0.8046 0.3138 0.4994
Li6 Li 0.9823 0.5114 0.0019
Co1 Co 0.3234 0.3234 0.7686
Co2 Co 0.4733 0.9711 0.2708
Co3 Co 0.9711 0.4733 0.2708
Ni1 Ni 0.3244 0.8205 0.7694
Ni2 Ni 0.4935 0.4935 0.0380
Ni3 Ni 0.8201 0.8201 0.5453
Ni4 Ni 0.8205 0.3244 0.7694
Ni5 Ni 0.9701 0.9701 0.2702
O1 O 0.0017 0.0017 0.6514
O2 O 0.0026 0.4843 0.6576
O3 O 0.1057 0.6457 0.4029
O4 O 0.1484 0.1484 0.3798
O5 O 0.1664 0.1664 0.8762
O6 O 0.1889 0.6301 0.9031
O7 O 0.2978 0.2978 0.1725
O8 O 0.3129 0.8239 0.1521
O9 O 0.4793 0.4793 0.6605
O10 O 0.4843 0.0026 0.6576
O11 O 0.6301 0.1889 0.9031
O12 O 0.6384 0.6384 0.8914
O13 O 0.6457 0.1057 0.4029
O14 O 0.6584 0.6584 0.3869
O15 O 0.7956 0.7956 0.1603
O16 O 0.8239 0.3129 0.1521
```

Largest 6 diffraction maxima, sorted by position, 2θ = 10–80°:
2θ 19.08, intensity 100
2θ 20.18, intensity 73
2θ 20.69, intensity 57
2θ 37.39, intensity 89
2θ 46.45, intensity 48
2θ 64.33, intensity 48

4.
Structure and calculated XRD peak list of Li2CoNi2O6 (the GGA+U geometry in Alexandria; copper Kα).
Lines closer than 0.1° are merged.

Cell and atoms:
```
data_Li2CoNi2O6
_chemical_formula_sum 'Li4 Co2 Ni4 O12'
_symmetry_space_group_name_H-M 'P 1'
_symmetry_Int_Tables_number 1
_symmetry_space_group_name_Hall 'P 1'
_cell_length_a 9.9729
_cell_length_b 4.8820
_cell_length_c 4.8820
_cell_angle_alpha 61.38
_cell_angle_beta 90.00
_cell_angle_gamma 90.00
loop_
_atom_site_label
_atom_site_type_symbol
_atom_site_fract_x
_atom_site_fract_y
_atom_site_fract_z
Li1 Li 0.2481 0.1048 0.8952
Li2 Li 0.2519 0.6048 0.3952
Li3 Li 0.7481 0.3952 0.6048
Li4 Li 0.7519 0.8952 0.1048
Co1 Co 0.0000 0.7492 0.7492
Co2 Co 0.5000 0.2492 0.2492
Ni1 Ni 0.0000 0.0876 0.0876
Ni2 Ni 0.0000 0.4166 0.4166
Ni3 Ni 0.5000 0.5876 0.5876
Ni4 Ni 0.5000 0.9166 0.9166
O1 O 0.0974 0.0835 0.4220
O2 O 0.1001 0.7482 0.0906
O3 O 0.1077 0.4365 0.7210
O4 O 0.3923 0.9365 0.2210
O5 O 0.3999 0.2482 0.5906
O6 O 0.4026 0.5835 0.9220
O7 O 0.5974 0.9220 0.5835
O8 O 0.6001 0.5906 0.2482
O9 O 0.6077 0.2210 0.9365
O10 O 0.8923 0.7210 0.4365
O11 O 0.8999 0.0906 0.7482
O12 O 0.9026 0.4220 0.0835
```

Largest 6 diffraction maxima, sorted by position, 2θ = 10–80°:
2θ 17.79, intensity 100
2θ 37.96, intensity 29
2θ 40.47, intensity 16
2θ 46.14, intensity 31
2θ 59.89, intensity 17
2θ 66.08, intensity 14

5.
Structure and calculated XRD peak list of LiCo3NiO8 (the GGA+U geometry in Alexandria; copper Kα).
Lines closer than 0.1° are merged.

Cell and atoms:
```
data_LiCo3NiO8
_chemical_formula_sum 'Li1 Co3 Ni1 O8'
_symmetry_space_group_name_H-M 'P 1'
_symmetry_Int_Tables_number 1
_symmetry_space_group_name_Hall 'P 1'
_cell_length_a 5.9774
_cell_length_b 5.9774
_cell_length_c 5.9774
_cell_angle_alpha 56.99
_cell_angle_beta 56.99
_cell_angle_gamma 56.99
loop_
_atom_site_label
_atom_site_type_symbol
_atom_site_fract_x
_atom_site_fract_y
_atom_site_fract_z
Li1 Li 0.0000 0.0000 0.0000
Co1 Co 0.0000 0.0000 0.5000
Co2 Co 0.0000 0.5000 0.0000
Co3 Co 0.5000 0.0000 0.0000
Ni1 Ni 0.5000 0.5000 0.5000
O1 O 0.2147 0.7408 0.7408
O2 O 0.2306 0.2306 0.2306
O3 O 0.2592 0.2592 0.7853
O4 O 0.2592 0.7853 0.2592
O5 O 0.7408 0.2147 0.7408
O6 O 0.7408 0.7408 0.2147
O7 O 0.7694 0.7694 0.7694
O8 O 0.7853 0.2592 0.2592
```

Largest 6 diffraction maxima, sorted by position, 2θ = 10–80°:
2θ 17.78, intensity 100
2θ 36.89, intensity 28
2θ 43.93, intensity 43
2θ 56.97, intensity 15
2θ 65.46, intensity 11
2θ 68.43, intensity 12

6.
Structure and calculated XRD peak list of LiCo3NiO8 (the GGA+U geometry in Alexandria; copper Kα).
Lines closer than 0.1° are merged.

Cell and atoms:
```
data_LiCo3NiO8
_chemical_formula_sum 'Li2 Co6 Ni2 O16'
_symmetry_space_group_name_H-M 'P 1'
_symmetry_Int_Tables_number 1
_symmetry_space_group_name_Hall 'P 1'
_cell_length_a 5.6682
_cell_length_b 5.6682
_cell_length_c 10.5325
_cell_angle_alpha 105.43
_cell_angle_beta 105.43
_cell_angle_gamma 60.83
loop_
_atom_site_label
_atom_site_type_symbol
_atom_site_fract_x
_atom_site_fract_y
_atom_site_fract_z
Li1 Li 0.2375 0.7625 0.7500
Li2 Li 0.7625 0.2375 0.2500
Co1 Co 0.0000 0.0000 0.0000
Co2 Co 0.0000 0.0000 0.5000
Co3 Co 0.0000 0.5000 0.5000
Co4 Co 0.5000 0.0000 0.0000
Co5 Co 0.5000 0.5000 0.0000
Co6 Co 0.5000 0.5000 0.5000
Ni1 Ni 0.0000 0.5000 0.0000
Ni2 Ni 0.5000 0.0000 0.5000
O1 O 0.1012 0.1487 0.3977
O2 O 0.1365 0.6389 0.9051
O3 O 0.1380 0.6338 0.4048
O4 O 0.1487 0.1012 0.8977
O5 O 0.3602 0.3709 0.5955
O6 O 0.3611 0.8635 0.5949
O7 O 0.3662 0.8620 0.0952
O8 O 0.3709 0.3602 0.0955
O9 O 0.6291 0.6398 0.9045
O10 O 0.6338 0.1380 0.9048
O11 O 0.6389 0.1365 0.4051
O12 O 0.6398 0.6291 0.4045
O13 O 0.8513 0.8988 0.1023
O14 O 0.8620 0.3662 0.5952
O15 O 0.8635 0.3611 0.0949
O16 O 0.8988 0.8513 0.6023
```

Largest 6 diffraction maxima, sorted by position, 2θ = 10–80°:
2θ 17.71, intensity 100
2θ 36.81, intensity 19
2θ 37.28, intensity 9
2θ 43.80, intensity 28
2θ 44.23, intensity 14
2θ 56.76, intensity 10

7.
Structure and calculated XRD peak list of Li2Co3NiO8 (the GGA+U geometry in Alexandria; copper Kα).
Lines closer than 0.1° are merged.

Cell and atoms:
```
data_Li2Co3NiO8
_chemical_formula_sum 'Li2 Co3 Ni1 O8'
_symmetry_space_group_name_H-M 'P 1'
_symmetry_Int_Tables_number 1
_symmetry_space_group_name_Hall 'P 1'
_cell_length_a 5.8026
_cell_length_b 5.8026
_cell_length_c 5.9469
_cell_angle_alpha 120.24
_cell_angle_beta 120.24
_cell_angle_gamma 58.26
loop_
_atom_site_label
_atom_site_type_symbol
_atom_site_fract_x
_atom_site_fract_y
_atom_site_fract_z
Li1 Li 0.0000 0.5000 0.0000
Li2 Li 0.5000 0.0000 0.0000
Co1 Co 0.0000 0.0000 0.5000
Co2 Co 0.0000 0.5000 0.5000
Co3 Co 0.5000 0.0000 0.5000
Ni1 Ni 0.5000 0.5000 0.5000
O1 O 0.2275 0.2275 0.6941
O2 O 0.2460 0.7463 0.2879
O3 O 0.2537 0.7540 0.7121
O4 O 0.2736 0.2736 0.3011
O5 O 0.7264 0.7264 0.6989
O6 O 0.7463 0.2460 0.2879
O7 O 0.7540 0.2537 0.7121
O8 O 0.7725 0.7725 0.3059
```

Largest 6 diffraction maxima, sorted by position, 2θ = 10–80°:
2θ 18.26, intensity 100
2θ 36.03, intensity 13
2θ 36.93, intensity 25
2θ 43.71, intensity 18
2θ 44.23, intensity 34
2θ 57.79, intensity 10

8.
Structure and calculated XRD peak list of LiCo3NiO8 (the GGA+U geometry in Alexandria; copper Kα).
Lines closer than 0.1° are merged.

Cell and atoms:
```
data_LiCo3NiO8
_chemical_formula_sum 'Li1 Co3 Ni1 O8'
_symmetry_space_group_name_H-M 'P 1'
_symmetry_Int_Tables_number 1
_symmetry_space_group_name_Hall 'P 1'
_cell_length_a 5.6352
_cell_length_b 5.6352
_cell_length_c 5.8865
_cell_angle_alpha 117.45
_cell_angle_beta 117.45
_cell_angle_gamma 59.68
loop_
_atom_site_label
_atom_site_type_symbol
_atom_site_fract_x
_atom_site_fract_y
_atom_site_fract_z
Li1 Li 0.0000 0.0000 0.0000
Co1 Co 0.0000 0.5000 0.5000
Co2 Co 0.5000 0.0000 0.5000
Co3 Co 0.5000 0.5000 0.5000
Ni1 Ni 0.0000 0.0000 0.5000
O1 O 0.2223 0.7338 0.6958
O2 O 0.2268 0.2268 0.6915
O3 O 0.2662 0.7777 0.3042
O4 O 0.2684 0.2684 0.3054
O5 O 0.7316 0.7316 0.6946
O6 O 0.7338 0.2223 0.6958
O7 O 0.7732 0.7732 0.3085
O8 O 0.7777 0.2662 0.3042
```

Largest 6 diffraction maxima, sorted by position, 2θ = 10–80°:
2θ 17.79, intensity 100
2θ 37.13, intensity 8
2θ 37.55, intensity 19
2θ 43.72, intensity 14
2θ 44.71, intensity 27
2θ 57.81, intensity 9

Copy entry 2 word for word.
Structure and calculated XRD peak list of Li3Co2NiO6 (the GGA+U geometry in Alexandria; copper Kα).
Lines closer than 0.1° are merged.

Cell and atoms:
```
data_Li3Co2NiO6
_chemical_formula_sum 'Li6 Co4 Ni2 O12'
_symmetry_space_group_name_H-M 'P 1'
_symmetry_Int_Tables_number 1
_symmetry_space_group_name_Hall 'P 1'
_cell_length_a 5.7733
_cell_length_b 2.8539
_cell_length_c 12.5863
_cell_angle_alpha 90.00
_cell_angle_beta 104.00
_cell_angle_gamma 90.00
loop_
_atom_site_label
_atom_site_type_symbol
_atom_site_fract_x
_atom_site_fract_y
_atom_site_fract_z
Li1 Li 0.0000 0.0000 0.0000
Li2 Li 0.0000 0.5000 0.5000
Li3 Li 0.3348 0.0082 0.6678
Li4 Li 0.3348 0.4918 0.1678
Li5 Li 0.6652 0.5082 0.8322
Li6 Li 0.6652 0.9918 0.3322
Co1 Co 0.1659 0.5139 0.8326
Co2 Co 0.1659 0.9861 0.3326
Co3 Co 0.8341 0.0139 0.6674
Co4 Co 0.8341 0.4861 0.1674
Ni1 Ni 0.5000 0.0000 0.0000
Ni2 Ni 0.5000 0.5000 0.5000
O1 O 0.0647 0.5129 0.6744
O2 O 0.0647 0.9871 0.1744
O3 O 0.2598 0.5336 0.9909
O4 O 0.2598 0.9664 0.4909
O5 O 0.3946 0.0192 0.8363
O6 O 0.3946 0.4808 0.3363
O7 O 0.6054 0.5192 0.6637
O8 O 0.6054 0.9808 0.1637
O9 O 0.7402 0.0336 0.5091
O10 O 0.7402 0.4664 0.0091
O11 O 0.9353 0.0129 0.8256
O12 O 0.9353 0.4871 0.3256
```

Largest 6 diffraction maxima, sorted by position, 2θ = 10–80°:
2θ 18.73, intensity 100
2θ 36.89, intensity 26
2θ 38.50, intensity 15
2θ 44.51, intensity 23
2θ 44.65, intensity 45
2θ 64.56, intensity 18

What did the third record say?
Structure and calculated XRD peak list of Li6Co3Ni5O16 (the GGA+U geometry in Alexandria; copper Kα).
Lines closer than 0.1° are merged.

Cell and atoms:
```
data_Li6Co3Ni5O16
_chemical_formula_sum 'Li6 Co3 Ni5 O16'
_symmetry_space_group_name_H-M 'P 1'
_symmetry_Int_Tables_number 1
_symmetry_space_group_name_Hall 'P 1'
_cell_length_a 5.8048
_cell_length_b 5.8048
_cell_length_c 9.3199
_cell_angle_alpha 93.11
_cell_angle_beta 93.11
_cell_angle_gamma 57.90
loop_
_atom_site_label
_atom_site_type_symbol
_atom_site_fract_x
_atom_site_fract_y
_atom_site_fract_z
Li1 Li 0.0000 0.0000 0.0000
Li2 Li 0.3132 0.3132 0.5066
Li3 Li 0.3138 0.8046 0.4994
Li4 Li 0.5114 0.9823 0.0019
Li5 Li 0.8046 0.3138 0.4994
Li6 Li 0.9823 0.5114 0.0019
Co1 Co 0.3234 0.3234 0.7686
Co2 Co 0.4733 0.9711 0.2708
Co3 Co 0.9711 0.4733 0.2708
Ni1 Ni 0.3244 0.8205 0.7694
Ni2 Ni 0.4935 0.4935 0.0380
Ni3 Ni 0.8201 0.8201 0.5453
Ni4 Ni 0.8205 0.3244 0.7694
Ni5 Ni 0.9701 0.9701 0.2702
O1 O 0.0017 0.0017 0.6514
O2 O 0.0026 0.4843 0.6576
O3 O 0.1057 0.6457 0.4029
O4 O 0.1484 0.1484 0.3798
O5 O 0.1664 0.1664 0.8762
O6 O 0.1889 0.6301 0.9031
O7 O 0.2978 0.2978 0.1725
O8 O 0.3129 0.8239 0.1521
O9 O 0.4793 0.4793 0.6605
O10 O 0.4843 0.0026 0.6576
O11 O 0.6301 0.1889 0.9031
O12 O 0.6384 0.6384 0.8914
O13 O 0.6457 0.1057 0.4029
O14 O 0.6584 0.6584 0.3869
O15 O 0.7956 0.7956 0.1603
O16 O 0.8239 0.3129 0.1521
```

Largest 6 diffraction maxima, sorted by position, 2θ = 10–80°:
2θ 19.08, intensity 100
2θ 20.18, intensity 73
2θ 20.69, intensity 57
2θ 37.39, intensity 89
2θ 46.45, intensity 48
2θ 64.33, intensity 48